This entry pairs a crystal structure of BaZnCd2F8 with its theoretical powder diffractogram. Radiation: λ = 1.5418 Å (Cu Kα). Structure: a structure optimized by DFT (GGA-PBE).
Intensities are scaled so that the largest is 100.

```
BaZnCd2F8
1.0
4.8978 0.0000 0.0000
0.1291 5.3865 0.0000
0.0106 0.0100 7.3551
Ba Zn Cd F
1 1 2 8
direct
0.0000 0.0000 0.0000 Ba
0.0000 0.0000 0.5000 Zn
0.4998 0.4998 0.2695 Cd
0.5002 0.5002 0.7305 Cd
0.1514 0.7728 0.7047 F
0.1527 0.7739 0.2956 F
0.3251 0.2620 0.5004 F
0.4275 0.2733 0.0003 F
0.5725 0.7267 0.9997 F
0.6749 0.7380 0.4996 F
0.8473 0.2261 0.7044 F
0.8486 0.2272 0.2953 F
```

Top 8 peaks for 2θ = 10–90°, low angle first:
2θ 24.27, intensity 100
2θ 24.87, intensity 84
2θ 29.41, intensity 97
2θ 30.40, intensity 59
2θ 36.70, intensity 33
2θ 45.33, intensity 44
2θ 46.02, intensity 44
2θ 47.38, intensity 28

=====

This entry pairs a crystal structure of BaCdFe4 with its theoretical powder diffractogram. Radiation: λ = 1.5418 Å (Cu Kα). Structure: a structure optimized by DFT (GGA-PBE).
Intensities are scaled so that the largest is 100.

```
BaCdFe4
1.0
0.0000 3.7481 3.7481
3.7481 0.0000 3.7481
3.7481 3.7481 0.0000
Ba Cd Fe
1 1 4
direct
0.0000 0.0000 0.0000 Ba
0.7500 0.7500 0.7500 Cd
0.3801 0.3801 0.3801 Fe
0.3801 0.3801 0.8596 Fe
0.3801 0.8596 0.3801 Fe
0.8596 0.3801 0.3801 Fe
```

Top 8 peaks for 2θ = 10–90°, low angle first:
2θ 33.82, intensity 57
2θ 39.89, intensity 100
2θ 41.74, intensity 19
2θ 60.51, intensity 21
2θ 64.60, intensity 31
2θ 71.15, intensity 22
2θ 81.15, intensity 9
2θ 84.81, intensity 10

=====

Question: Which formula does entry 2 have?
Answer: BaCdFe4

=====

What did the first record say?
This entry pairs a crystal structure of BaZnCd2F8 with its theoretical powder diffractogram. Radiation: λ = 1.5418 Å (Cu Kα). Structure: a structure optimized by DFT (GGA-PBE).
Intensities are scaled so that the largest is 100.

```
BaZnCd2F8
1.0
4.8978 0.0000 0.0000
0.1291 5.3865 0.0000
0.0106 0.0100 7.3551
Ba Zn Cd F
1 1 2 8
direct
0.0000 0.0000 0.0000 Ba
0.0000 0.0000 0.5000 Zn
0.4998 0.4998 0.2695 Cd
0.5002 0.5002 0.7305 Cd
0.1514 0.7728 0.7047 F
0.1527 0.7739 0.2956 F
0.3251 0.2620 0.5004 F
0.4275 0.2733 0.0003 F
0.5725 0.7267 0.9997 F
0.6749 0.7380 0.4996 F
0.8473 0.2261 0.7044 F
0.8486 0.2272 0.2953 F
```

Top 8 peaks for 2θ = 10–90°, low angle first:
2θ 24.27, intensity 100
2θ 24.87, intensity 84
2θ 29.41, intensity 97
2θ 30.40, intensity 59
2θ 36.70, intensity 33
2θ 45.33, intensity 44
2θ 46.02, intensity 44
2θ 47.38, intensity 28